FeAsIr: simulated PXRD pattern (copper Kα), based on a structure optimized by DFT (PBE).
No peak broadening, texture or thermal motion is included.

Cell and atoms:
Unit cell a=5.0618 b=9.2006 c=4.0015 alpha=90.00 beta=108.81 gamma=90.00
Positions (direct):
Fe (0.0000, 0.0823, 0.0000)
Fe (0.0000, 0.9177, 0.5000)
Fe (0.5000, 0.4177, 0.5000)
Fe (0.5000, 0.5823, 0.0000)
As (0.3122, 0.1652, 0.7062)
As (0.3122, 0.8348, 0.2062)
As (0.8122, 0.3348, 0.2062)
As (0.8122, 0.6652, 0.7062)
Ir (0.0968, 0.3940, 0.8269)
Ir (0.0968, 0.6060, 0.3269)
Ir (0.5968, 0.1060, 0.3269)
Ir (0.5968, 0.8940, 0.8269)

Peak list (6 most intense, 2θ = 10–90°, in order of rising 2θ)
| 2θ (°) | I/Imax | hkl |
| --- | --- | --- |
| 20.9 | 69 | 1 1 0 |
| 36.0 | 80 | 1 1 1 |
| 38.6 | 47 | 1 3 -1 |
| 42.4 | 100 | 2 2 -1 |
| 45.8 | 50 | 1 3 1 |
| 46.6 | 50 | 1 1 -2 |